This entry pairs a crystal structure of AcPr10Er4 with its theoretical PXRD pattern. Radiation: Cu Kα, 1.54184 Å. Structure: a cell relaxed with GGA-PBE.

Crystal structure
```
AcPr10Er4
1.0
-6.4102 6.4102 3.5115
6.4102 -6.4102 3.5115
6.4102 6.4102 -3.5115
Ac Pr Er
1 10 4
Cartesian
0.0000 0.0000 0.0000
4.7711 -2.7176 1.7869
9.1279 -1.6392 1.7246
6.4102 0.0000 1.7558
3.6926 1.6392 1.7246
8.0494 2.7176 1.7869
-1.6392 3.6926 1.7246
2.7176 4.7711 1.7869
0.0000 6.4102 1.7558
-2.7176 8.0494 1.7869
1.6392 9.1279 1.7246
5.5405 4.1315 0.0000
2.2788 -0.8698 3.5115
4.1315 7.2800 0.0000
0.8698 2.2788 3.5115
```

Top 10 peaks for 2θ from 10° to 90°, by angle:
19.99°, intensity 352; 27.23°, intensity 704; 28.13°, intensity 493; 31.20°, intensity 1000; 31.46°, intensity 296; 33.77°, intensity 875; 35.71°, intensity 331; 44.31°, intensity 390; 52.09°, intensity 398; 61.98°, intensity 281